Computed PXRD pattern of Sm4GaGeTe2 for Cu Kα (λ = 1.5418 Å), from a cell relaxed with PBE.
Kinematic intensities with the Lorentz-polarization factor, no thermal factor.

a b c (Å): 7.381 4.295 7.801
angles (deg): 90.00 108.60 90.00
Space group P2/m (No. 10)
Unique sites:
Sm 0.239 0.000 0.228 [2 per cell]
Sm 0.253 0.500 0.766 [2 per cell]
Ga 0.500 0.000 0.000 [1 per cell]
Ge 0.000 0.500 0.000 [1 per cell]
Te 0.000 0.000 0.500 [1 per cell]
Te 0.500 0.500 0.500 [1 per cell]

Top 10 peaks for 15° ≤ 2θ ≤ 90°, in order of rising 2θ:
d (Å)  Rel. int.  (hkl)
3.081  100  2 0 -2
2.223  26  1 1 -3
2.213  13  2 0 2
2.147  12  0 2 0
2.135  24  3 1 -1
1.849  7  0 0 4
1.761  13  2 2 -2
1.749  6  4 0 0
1.540  12  4 0 -4
1.356  11  5 1 -3